# CsPu3Cl8
Calculated XRD peak list, CuKα. Input: a structure optimized by DFT (GGA-PBE).
Neutral-atom scattering factors, no anomalous dispersion.

Most intense lines, 5 to 70 degrees two-theta, most intense first:
two_theta, I_rel
14.66, 100.0
23.33, 93.0
30.23, 88.9
42.86, 41.9
40.04, 38.6
24.85, 35.5
33.75, 33.9
46.34, 26.4
41.87, 24.6
50.98, 18.5

Structure:
a = 7.9728 Å, b = 7.9728 Å, c = 7.9728 Å
α = 68.79°, β = 68.79°, γ = 68.79°
Positions (direct):
Cs: 0.0000 0.0000 0.0000
Pu: 0.0000 0.5000 0.5000
Pu: 0.5000 0.0000 0.5000
Pu: 0.5000 0.5000 0.0000
Cl: 0.2554 0.2554 0.2554
Cl: 0.2683 0.2683 0.6964
Cl: 0.2683 0.6964 0.2683
Cl: 0.3036 0.7317 0.7317
Cl: 0.6964 0.2683 0.2683
Cl: 0.7317 0.3036 0.7317
Cl: 0.7317 0.7317 0.3036
Cl: 0.7446 0.7446 0.7446